This entry pairs a crystal structure of K3NaCd with its calculated powder X-ray diffraction pattern. Radiation: copper Kα. Structure: a crystal structure in Alexandria, relaxed with GGA-PBE.
No peak broadening, texture or thermal motion is included.

The 8 most intense peaks (2θ = 10–90°), low angle first:
| 2θ (°) | I_rel | hkl |
| --- | --- | --- |
| 12.45 | 63 | 2 0 0 |
| 18.29 | 72 | 1 0 1 |
| 25.51 | 100 | 3 0 1 |
| 26.29 | 76 | 3 1 1 |
| 31.45 | 39 | 4 3 0 |
| 31.83 | 44 | 3 3 1 |
| 32.09 | 45 | 5 1 0 |
| 33.09 | 56 | 4 2 1 |

Crystal structure
Cell: 14.223 14.223 5.160 Å, 90.00 90.00 90.00°
Sites, in units of the cell vectors:
K  0.021  0.324  0.000
K  0.116  0.884  0.500
K  0.176  0.521  0.500
K  0.324  0.021  0.000
K  0.384  0.384  0.000
K  0.479  0.824  0.500
K  0.521  0.176  0.500
K  0.616  0.616  0.000
K  0.676  0.979  0.000
K  0.824  0.479  0.500
K  0.884  0.116  0.500
K  0.979  0.676  0.000
Na  0.185  0.185  0.500
Na  0.315  0.685  0.000
Na  0.685  0.315  0.000
Na  0.815  0.815  0.500
Cd  0.074  0.074  0.000
Cd  0.426  0.574  0.500
Cd  0.574  0.426  0.500
Cd  0.926  0.926  0.000